Computed powder X-ray diffraction pattern of Ac3Al2Ni4 for Cu Kα X-rays, from a GGA-PBE-relaxed structure.
No peak broadening, texture or thermal motion is included.

Top 10 peaks for 10° ≤ 2θ ≤ 90°, in order of rising 2θ:
Position (°2θ), I (rel.)
25.49, 1000
28.93, 213
29.98, 326
31.63, 219
32.78, 387
33.30, 530
36.79, 767
40.37, 223
42.66, 322
55.17, 257

Structural model:
Unit cell a=5.8357 b=5.8357 c=8.6061 alpha=98.92 beta=98.92 gamma=42.59
Fractional positions:
Ac 0.0000 0.0000 0.0000
Ac 0.3781 0.3781 0.6189
Ac 0.6219 0.6219 0.3811
Al 0.3196 0.3196 0.2053
Al 0.6804 0.6804 0.7947
Ni 0.0931 0.0931 0.6502
Ni 0.2592 0.2592 0.9146
Ni 0.7408 0.7408 0.0854
Ni 0.9069 0.9069 0.3498